[1]
Starting from a DFT-relaxed cell (GGA-PBE, OQMD), the powder XRD pattern of LaNdAs2Ir2O2 was simulated for Cu Ka.
No peak broadening, texture or thermal motion is included.

Main lines, in order of rising 2θ (10 to 90 degrees two-theta):
| d_spacing | Position (°2θ) | I (rel.) |
| --- | --- | --- |
| 8.488 | 10.42 | 957 |
| 4.244 | 20.93 | 297 |
| 2.949 | 30.31 | 1000 |
| 2.829 | 31.62 | 245 |
| 2.743 | 32.64 | 952 |
| 2.394 | 37.57 | 952 |
| 2.050 | 44.18 | 748 |
| 1.712 | 53.52 | 674 |
| 1.683 | 54.52 | 379 |
| 1.106 | 88.35 | 333 |

Lattice parameters (Å, degrees): 4.100 4.100 8.488 90.00 90.00 90.00
Atoms (fractional coordinates):
La1 0.000 0.000 0.000
Nd1 0.500 0.500 0.721
As1 0.000 0.000 0.529
As2 0.500 0.500 0.199
Ir1 0.000 0.500 0.364
Ir2 0.500 0.000 0.364
O1 0.000 0.500 0.858
O2 0.500 0.000 0.858

[2]
Starting from a DFT-relaxed cell (GGA-PBE, OQMD), the powder XRD pattern of La2AsPIr2O2 was simulated for Cu Ka.
No peak broadening, texture or thermal motion is included.

Main lines, in order of rising 2θ (10 to 90 degrees two-theta):
| d_spacing | Position (°2θ) | I (rel.) |
| --- | --- | --- |
| 8.625 | 10.26 | 915 |
| 4.313 | 20.59 | 355 |
| 2.954 | 30.26 | 807 |
| 2.875 | 31.11 | 317 |
| 2.720 | 32.93 | 1000 |
| 2.387 | 37.68 | 889 |
| 2.027 | 44.70 | 737 |
| 1.723 | 53.15 | 688 |
| 1.671 | 54.94 | 294 |
| 1.102 | 88.79 | 363 |

Lattice parameters (Å, degrees): 4.054 4.054 8.625 90.00 90.00 90.00
Atoms (fractional coordinates):
La1 0.000 0.000 0.000
La2 0.500 0.500 0.285
As1 0.500 0.500 0.800
P1 0.000 0.000 0.487
Ir1 0.000 0.500 0.629
Ir2 0.500 0.000 0.629
O1 0.000 0.500 0.140
O2 0.500 0.000 0.140

[3]
Starting from a DFT-relaxed cell (GGA-PBE, OQMD), the powder XRD pattern of PrNdAs2Ir2O2 was simulated for Cu Ka.
No peak broadening, texture or thermal motion is included.

Main lines, in order of rising 2θ (10 to 90 degrees two-theta):
| d_spacing | Position (°2θ) | I (rel.) |
| --- | --- | --- |
| 8.459 | 10.46 | 895 |
| 4.230 | 21.00 | 289 |
| 2.942 | 30.38 | 1000 |
| 2.820 | 31.73 | 243 |
| 2.740 | 32.69 | 956 |
| 2.389 | 37.64 | 937 |
| 2.048 | 44.23 | 744 |
| 1.708 | 53.67 | 664 |
| 1.681 | 54.61 | 380 |
| 1.104 | 88.54 | 330 |

Lattice parameters (Å, degrees): 4.095 4.095 8.459 90.00 90.00 90.00
Atoms (fractional coordinates):
Pr1 0.000 0.000 0.000
Nd1 0.500 0.500 0.722
As1 0.000 0.000 0.527
As2 0.500 0.500 0.194
Ir1 0.000 0.500 0.361
Ir2 0.500 0.000 0.361
O1 0.000 0.500 0.858
O2 0.500 0.000 0.858

[4]
Starting from a DFT-relaxed cell (GGA-PBE, OQMD), the powder XRD pattern of PrNiSnAsIr was simulated for Cu Ka.
No peak broadening, texture or thermal motion is included.

Main lines, in order of rising 2θ (10 to 90 degrees two-theta):
| d_spacing | Position (°2θ) | I (rel.) |
| --- | --- | --- |
| 3.329 | 26.78 | 291 |
| 3.059 | 29.19 | 260 |
| 2.710 | 33.06 | 433 |
| 2.639 | 33.97 | 1000 |
| 2.233 | 40.40 | 251 |
| 2.163 | 41.75 | 720 |
| 1.984 | 45.73 | 276 |
| 1.879 | 48.46 | 254 |
| 1.530 | 60.52 | 241 |
| 1.323 | 71.26 | 233 |

Lattice parameters (Å, degrees): 4.327 4.327 10.427 90.00 90.00 90.00
Atoms (fractional coordinates):
Pr1 0.250 0.250 0.222
Pr2 0.750 0.750 0.778
Ni1 0.250 0.750 0.000
Ni2 0.750 0.250 0.000
Sn1 0.250 0.750 0.500
Sn2 0.750 0.250 0.500
As1 0.250 0.250 0.887
As2 0.750 0.750 0.113
Ir1 0.250 0.250 0.653
Ir2 0.750 0.750 0.347

[5]
Starting from a DFT-relaxed cell (GGA-PBE, OQMD), the powder XRD pattern of PrNiSnAsIr was simulated for Cu Ka.
No peak broadening, texture or thermal motion is included.

Main lines, in order of rising 2θ (10 to 90 degrees two-theta):
| d_spacing | Position (°2θ) | I (rel.) |
| --- | --- | --- |
| 5.307 | 16.71 | 122 |
| 2.710 | 33.05 | 201 |
| 2.653 | 33.78 | 114 |
| 2.599 | 34.51 | 1000 |
| 2.108 | 42.90 | 422 |
| 1.982 | 45.78 | 186 |
| 1.896 | 47.98 | 121 |
| 1.651 | 55.69 | 114 |
| 1.491 | 62.28 | 140 |
| 1.293 | 73.19 | 230 |

Lattice parameters (Å, degrees): 4.216 4.216 10.613 90.00 90.00 90.00
Atoms (fractional coordinates):
Pr1 0.250 0.250 0.237
Pr2 0.750 0.750 0.763
Ni1 0.250 0.250 0.646
Ni2 0.750 0.750 0.354
Sn1 0.250 0.750 0.500
Sn2 0.750 0.250 0.500
As1 0.250 0.250 0.862
As2 0.750 0.750 0.138
Ir1 0.250 0.750 0.000
Ir2 0.750 0.250 0.000

[6]
Starting from a DFT-relaxed cell (GGA-PBE, OQMD), the powder XRD pattern of As2IrO was simulated for Cu Ka.
No peak broadening, texture or thermal motion is included.

Main lines, in order of rising 2θ (10 to 90 degrees two-theta):
| d_spacing | Position (°2θ) | I (rel.) |
| --- | --- | --- |
| 8.756 | 10.10 | 1000 |
| 4.378 | 20.28 | 387 |
| 2.928 | 30.53 | 304 |
| 2.654 | 33.77 | 460 |
| 2.349 | 38.31 | 459 |
| 2.015 | 44.99 | 282 |
| 1.969 | 46.09 | 321 |
| 1.796 | 50.84 | 135 |
| 1.721 | 53.22 | 294 |
| 1.634 | 56.32 | 146 |

Lattice parameters (Å, degrees): 3.938 3.938 8.756 90.00 90.00 90.00
Atoms (fractional coordinates):
As1 0.250 0.250 0.099
As2 0.250 0.250 0.668
As3 0.750 0.750 0.332
As4 0.750 0.750 0.901
Ir1 0.250 0.750 0.500
Ir2 0.750 0.250 0.500
O1 0.250 0.750 0.000
O2 0.750 0.250 0.000

[7]
Starting from a DFT-relaxed cell (GGA-PBE, OQMD), the powder XRD pattern of AsIrO4 was simulated for Cu Ka.
No peak broadening, texture or thermal motion is included.

Main lines, in order of rising 2θ (10 to 90 degrees two-theta):
| d_spacing | Position (°2θ) | I (rel.) |
| --- | --- | --- |
| 3.763 | 23.65 | 174 |
| 3.626 | 24.55 | 248 |
| 3.289 | 27.11 | 1000 |
| 2.518 | 35.66 | 319 |
| 2.258 | 39.92 | 168 |
| 2.172 | 41.57 | 209 |
| 2.069 | 43.76 | 146 |
| 1.881 | 48.38 | 172 |
| 1.545 | 59.88 | 171 |
| 1.445 | 64.46 | 146 |

Lattice parameters (Å, degrees): 4.345 4.345 13.549 90.00 90.00 120.00
Atoms (fractional coordinates):
As1 0.000 0.524 0.167
As2 0.476 0.476 0.500
As3 0.524 0.000 0.833
Ir1 0.000 0.571 0.667
Ir2 0.429 0.429 0.000
Ir3 0.571 0.000 0.333
O1 0.074 0.664 0.808
O2 0.085 0.664 0.302
O3 0.336 0.410 0.141
O4 0.336 0.421 0.635
O5 0.410 0.336 0.859
O6 0.421 0.336 0.365
O7 0.579 0.915 0.968
O8 0.590 0.926 0.475
O9 0.664 0.074 0.192
O10 0.664 0.085 0.698
O11 0.915 0.579 0.032
O12 0.926 0.590 0.525

[8]
Starting from a DFT-relaxed cell (GGA-PBE, OQMD), the powder XRD pattern of SbAsIrO was simulated for Cu Ka.
No peak broadening, texture or thermal motion is included.

Main lines, in order of rising 2θ (10 to 90 degrees two-theta):
| d_spacing | Position (°2θ) | I (rel.) |
| --- | --- | --- |
| 4.457 | 19.92 | 394 |
| 2.964 | 30.15 | 1000 |
| 2.675 | 33.50 | 779 |
| 2.374 | 37.90 | 830 |
| 2.039 | 44.42 | 192 |
| 1.983 | 45.76 | 576 |
| 1.745 | 52.45 | 634 |
| 1.648 | 55.77 | 424 |
| 1.402 | 66.71 | 184 |
| 1.093 | 89.72 | 286 |

Lattice parameters (Å, degrees): 3.966 3.966 8.915 90.00 90.00 90.00
Atoms (fractional coordinates):
Sb1 0.250 0.250 0.131
Sb2 0.750 0.750 0.869
As1 0.250 0.250 0.665
As2 0.750 0.750 0.335
Ir1 0.250 0.750 0.500
Ir2 0.750 0.250 0.500
O1 0.250 0.750 0.000
O2 0.750 0.250 0.000

[9]
Starting from a DFT-relaxed cell (GGA-PBE, OQMD), the powder XRD pattern of AsPIr was simulated for Cu Ka.
No peak broadening, texture or thermal motion is included.

Main lines, in order of rising 2θ (10 to 90 degrees two-theta):
| d_spacing | Position (°2θ) | I (rel.) |
| --- | --- | --- |
| 3.843 | 23.14 | 1000 |
| 2.996 | 29.82 | 434 |
| 2.916 | 30.66 | 244 |
| 2.808 | 31.87 | 516 |
| 2.748 | 32.59 | 556 |
| 2.025 | 44.75 | 285 |
| 1.920 | 47.34 | 429 |
| 1.881 | 48.40 | 344 |
| 1.855 | 49.10 | 309 |
| 1.714 | 53.46 | 310 |

Lattice parameters (Å, degrees): 5.955 5.993 6.085 90.00 112.65 90.00
Atoms (fractional coordinates):
As1 0.168 0.125 0.309
As2 0.168 0.375 0.809
As3 0.832 0.625 0.191
As4 0.832 0.875 0.691
P1 0.347 0.625 0.621
P2 0.347 0.875 0.121
P3 0.653 0.125 0.879
P4 0.653 0.375 0.379
Ir1 0.239 0.509 0.211
Ir2 0.239 0.991 0.711
Ir3 0.761 0.009 0.289
Ir4 0.761 0.491 0.789

[10]
Starting from a DFT-relaxed cell (GGA-PBE, OQMD), the powder XRD pattern of RbAsPIr2 was simulated for Cu Ka.
No peak broadening, texture or thermal motion is included.

Main lines, in order of rising 2θ (10 to 90 degrees two-theta):
| d_spacing | Position (°2θ) | I (rel.) |
| --- | --- | --- |
| 6.991 | 12.66 | 1000 |
| 3.496 | 25.48 | 268 |
| 3.039 | 29.40 | 199 |
| 2.626 | 34.14 | 666 |
| 2.201 | 41.00 | 315 |
| 2.004 | 45.26 | 266 |
| 1.926 | 47.19 | 157 |
| 1.800 | 50.72 | 351 |
| 1.738 | 52.66 | 152 |
| 1.113 | 87.66 | 154 |

Lattice parameters (Å, degrees): 7.544 7.544 7.544 149.20 149.20 44.12
Atoms (fractional coordinates):
Rb1 0.000 0.000 0.000
As1 0.345 0.345 0.000
P1 0.653 0.653 0.000
Ir1 0.240 0.740 0.500
Ir2 0.740 0.240 0.500

[11]
Starting from a DFT-relaxed cell (GGA-PBE, OQMD), the powder XRD pattern of PrSnAsIrPd was simulated for Cu Ka.
No peak broadening, texture or thermal motion is included.

Main lines, in order of rising 2θ (10 to 90 degrees two-theta):
| d_spacing | Position (°2θ) | I (rel.) |
| --- | --- | --- |
| 5.521 | 16.05 | 110 |
| 2.784 | 32.15 | 210 |
| 2.643 | 33.92 | 1000 |
| 2.129 | 42.47 | 463 |
| 2.035 | 44.53 | 246 |
| 1.960 | 46.32 | 131 |
| 1.691 | 54.25 | 114 |
| 1.505 | 61.62 | 154 |
| 1.442 | 64.64 | 95 |
| 1.308 | 72.23 | 229 |

Lattice parameters (Å, degrees): 4.257 4.257 11.042 90.00 90.00 90.00
Atoms (fractional coordinates):
Pr1 0.250 0.250 0.227
Pr2 0.750 0.750 0.773
Sn1 0.250 0.750 0.500
Sn2 0.750 0.250 0.500
As1 0.250 0.250 0.872
As2 0.750 0.750 0.128
Ir1 0.250 0.750 0.000
Ir2 0.750 0.250 0.000
Pd1 0.250 0.250 0.653
Pd2 0.750 0.750 0.347

Number 9 is which compound?
AsPIr